[1]
Diffraction record for Li5Ca2Tl. The XRD peak list is computed, not measured: it uses a crystal structure in Alexandria, relaxed with GGA-PBE and Cu Ka.
Intensities are scaled so that the largest is 100.

Atomic structure:
a = 6.493 Å, b = 6.493 Å, c = 5.194 Å
α = 90.00°, β = 90.00°, γ = 90.00°
Space group P4/mmm (No. 123)
Inequivalent atoms, fractional coordinates:
Li 0.000 0.000 0.000
Li 0.288 0.288 0.500
Ca 0.000 0.500 0.000
Tl 0.000 0.000 0.500

Top 10 peaks for 15° ≤ 2θ ≤ 90°, most intense first:
| 2theta | d [Å] | I (rel.) |
| --- | --- | --- |
| 25.9 | 3.440 | 100 |
| 21.9 | 4.056 | 67 |
| 35.4 | 2.534 | 44 |
| 27.5 | 3.246 | 40 |
| 47.6 | 1.909 | 36 |
| 30.8 | 2.904 | 35 |
| 46.9 | 1.936 | 22 |
| 44.7 | 2.028 | 21 |
| 39.2 | 2.295 | 20 |
| 37.3 | 2.411 | 19 |

---

[2]
Diffraction record for ErBe6Cu12. The XRD peak list is computed, not measured: it uses a crystal structure in Alexandria, relaxed with GGA-PBE and Cu Ka.
Intensities are scaled so that the largest is 100.

Atomic structure:
a = 9.9954 Å, b = 9.9954 Å, c = 7.8516 Å
α = 90.00°, β = 90.00°, γ = 120.00°
Space group R-3m (No. 166, hexagonal axes)
Inequivalent atoms, fractional coordinates:
Er 0.0000 0.0000 0.0000
Be 0.0292 0.5146 0.2713
Cu 0.0000 0.3772 0.5000
Cu 0.0889 0.1778 0.3503

Top 10 peaks for 15° ≤ 2θ ≤ 90°, most intense first:
| 2theta | d [Å] | I (rel.) |
| --- | --- | --- |
| 39.2 | 2.296 | 100 |
| 38.8 | 2.319 | 56 |
| 30.7 | 2.908 | 40 |
| 31.0 | 2.885 | 24 |
| 58.2 | 1.584 | 22 |
| 44.2 | 2.048 | 21 |
| 46.9 | 1.939 | 16 |
| 55.1 | 1.666 | 14 |
| 71.8 | 1.314 | 14 |
| 86.3 | 1.128 | 11 |

---

[3]
Diffraction record for LiSc3. The XRD peak list is computed, not measured: it uses a crystal structure in Alexandria, relaxed with GGA-PBE and Cu Ka.
Intensities are scaled so that the largest is 100.

Atomic structure:
a = 3.2726 Å, b = 3.2726 Å, c = 10.2542 Å
α = 90.00°, β = 90.00°, γ = 120.00°
Space group P-6m2 (No. 187)
Inequivalent atoms, fractional coordinates:
Li 0.0000 0.0000 0.0000
Sc 0.0000 0.0000 0.5000
Sc 0.6667 0.3333 0.2506

Top 10 peaks for 15° ≤ 2θ ≤ 90°, most intense first:
| 2theta | d [Å] | I (rel.) |
| --- | --- | --- |
| 36.2 | 2.480 | 100 |
| 31.6 | 2.834 | 30 |
| 35.0 | 2.564 | 24 |
| 68.0 | 1.379 | 17 |
| 47.8 | 1.901 | 17 |
| 63.6 | 1.464 | 17 |
| 56.2 | 1.636 | 16 |
| 32.8 | 2.732 | 14 |
| 68.7 | 1.366 | 13 |
| 17.3 | 5.127 | 12 |

---

[4]
Diffraction record for RbCaAsIrS. The XRD peak list is computed, not measured: it uses a crystal structure in Alexandria, relaxed with GGA-PBE and Cu Ka.
Intensities are scaled so that the largest is 100.

Atomic structure:
a = 7.163 Å, b = 4.138 Å, c = 9.373 Å
α = 90.00°, β = 104.75°, γ = 90.00°
Space group Cm (No. 8)
Inequivalent atoms, fractional coordinates:
Rb 0.000 0.000 0.000
Ca 0.298 0.500 0.394
As 0.226 0.000 0.673
Ir 0.056 0.500 0.665
S 0.416 0.000 0.247

Top 10 peaks for 15° ≤ 2θ ≤ 90°, most intense first:
| 2theta | d [Å] | I (rel.) |
| --- | --- | --- |
| 29.9 | 2.992 | 100 |
| 28.2 | 3.170 | 87 |
| 43.8 | 2.068 | 86 |
| 53.7 | 1.707 | 83 |
| 29.6 | 3.021 | 63 |
| 34.0 | 2.634 | 59 |
| 25.7 | 3.464 | 54 |
| 19.6 | 4.532 | 51 |
| 44.9 | 2.017 | 32 |
| 48.4 | 1.882 | 30 |

---

[5]
Diffraction record for Ac2SbPd5. The XRD peak list is computed, not measured: it uses a crystal structure in Alexandria, relaxed with GGA-PBE and Cu Ka.
Intensities are scaled so that the largest is 100.

Atomic structure:
a = 6.470 Å, b = 6.470 Å, c = 8.780 Å
α = 90.00°, β = 90.00°, γ = 90.00°
Space group I4mm (No. 107)
Inequivalent atoms, fractional coordinates:
Ac 0.000 0.500 0.000
Sb 0.000 0.000 0.300
Pd 0.000 0.000 0.989
Pd 0.213 0.213 0.745

Top 10 peaks for 15° ≤ 2θ ≤ 90°, most intense first:
| 2theta | d [Å] | I (rel.) |
| --- | --- | --- |
| 34.4 | 2.604 | 100 |
| 39.4 | 2.288 | 50 |
| 28.2 | 3.168 | 50 |
| 58.3 | 1.584 | 27 |
| 41.1 | 2.195 | 22 |
| 68.3 | 1.374 | 19 |
| 70.6 | 1.333 | 17 |
| 49.1 | 1.855 | 15 |
| 56.9 | 1.618 | 14 |
| 32.6 | 2.748 | 14 |

---

[6]
Diffraction record for AlInBi2Rh. The XRD peak list is computed, not measured: it uses a crystal structure in Alexandria, relaxed with GGA-PBE and Cu Ka.
Intensities are scaled so that the largest is 100.

Atomic structure:
a = 5.350 Å, b = 5.350 Å, c = 5.107 Å
α = 90.00°, β = 90.00°, γ = 90.00°
Space group P4/mmm (No. 123)
Inequivalent atoms, fractional coordinates:
Al 0.000 0.000 0.000
In 0.500 0.500 0.000
Bi 0.000 0.500 0.500
Rh 0.500 0.500 0.500

Top 10 peaks for 15° ≤ 2θ ≤ 90°, most intense first:
| 2theta | d [Å] | I (rel.) |
| --- | --- | --- |
| 29.4 | 3.040 | 100 |
| 33.5 | 2.675 | 77 |
| 17.4 | 5.107 | 59 |
| 49.3 | 1.847 | 52 |
| 16.6 | 5.350 | 38 |
| 38.0 | 2.370 | 35 |
| 35.1 | 2.553 | 34 |
| 57.4 | 1.606 | 32 |
| 48.1 | 1.892 | 28 |
| 61.0 | 1.520 | 28 |